B7C3: simulated powder XRD pattern (Cu Kα (weighted mean of Kα1 and Kα2)), based on a structure optimized by DFT (GGA-PBE).
Kinematic intensities with the Lorentz-polarization factor, no thermal factor.

Main lines, by intensity (2θ = 10–90°):
d = 2.187 Å, I 100.0
d = 2.206 Å, I 66.0
d = 2.981 Å, I 32.4
d = 1.369 Å, I 22.3
d = 2.945 Å, I 21.2
d = 1.292 Å, I 15.8
d = 1.927 Å, I 11.0
d = 1.259 Å, I 10.8

Cell: 4.669 4.669 5.925 Å, 123.63 123.63 43.44°
Sites, in units of the cell vectors:
B  0.000  0.000  0.000
B  0.045  0.385  0.026
B  0.141  0.214  0.542
B  0.478  0.429  0.233
B  0.571  0.522  0.767
B  0.615  0.955  0.974
B  0.786  0.859  0.458
C  0.135  0.620  0.708
C  0.380  0.865  0.292
C  0.768  0.232  0.500

---

SmGa8Ni4: simulated powder XRD pattern (Cu Kα (weighted mean of Kα1 and Kα2)), based on a structure optimized by DFT (GGA-PBE).
Kinematic intensities with the Lorentz-polarization factor, no thermal factor.

Main lines, by intensity (2θ = 10–90°):
d = 2.174 Å, I 100.0
d = 2.222 Å, I 68.9
d = 2.159 Å, I 62.1
d = 2.517 Å, I 51.0
d = 1.976 Å, I 45.8
d = 1.250 Å, I 26.6
d = 1.401 Å, I 23.7
d = 2.591 Å, I 23.5

Cell: 6.634 6.634 6.634 Å, 98.78 98.78 134.01°
Sites, in units of the cell vectors:
Sm  0.000  0.000  0.000
Ga  0.000  0.344  0.344
Ga  0.000  0.656  0.656
Ga  0.277  0.500  0.777
Ga  0.344  0.000  0.344
Ga  0.500  0.277  0.777
Ga  0.500  0.723  0.223
Ga  0.656  0.000  0.656
Ga  0.723  0.500  0.223
Ni  0.000  0.000  0.500
Ni  0.000  0.500  0.000
Ni  0.500  0.000  0.000
Ni  0.500  0.500  0.500

---

Li2HgPb: simulated powder XRD pattern (Cu Kα (weighted mean of Kα1 and Kα2)), based on a structure optimized by DFT (GGA-PBE).
Kinematic intensities with the Lorentz-polarization factor, no thermal factor.

Main lines, by intensity (2θ = 10–90°):
d = 3.486 Å, I 100.0
d = 2.410 Å, I 84.6
d = 2.465 Å, I 45.1
d = 3.334 Å, I 44.8
d = 1.982 Å, I 43.5
d = 1.412 Å, I 32.6
d = 1.559 Å, I 20.4
d = 1.545 Å, I 19.8

Cell: 3.334 4.927 4.933 Å, 90.00 90.01 90.00°
Sites, in units of the cell vectors:
Li  0.000  0.000  0.000
Li  0.000  0.500  0.490
Hg  0.502  0.000  0.498
Pb  0.500  0.500  0.990

---

RbGaPb: simulated powder XRD pattern (Cu Kα (weighted mean of Kα1 and Kα2)), based on a structure optimized by DFT (GGA-PBE).
Kinematic intensities with the Lorentz-polarization factor, no thermal factor.

Main lines, by intensity (2θ = 10–90°):
d = 6.838 Å, I 100.0
d = 2.824 Å, I 89.7
d = 3.100 Å, I 58.4
d = 3.948 Å, I 41.2
d = 2.591 Å, I 34.4
d = 2.577 Å, I 33.2
d = 4.040 Å, I 27.4
d = 2.297 Å, I 24.6

Cell: 15.750 4.229 7.896 Å, 90.00 119.75 90.00°
Sites, in units of the cell vectors:
Rb  0.151  0.000  0.149
Rb  0.349  0.500  0.851
Rb  0.651  0.500  0.149
Rb  0.849  0.000  0.851
Ga  0.001  0.500  0.697
Ga  0.499  0.000  0.303
Ga  0.501  0.000  0.697
Ga  0.999  0.500  0.303
Pb  0.113  0.000  0.610
Pb  0.387  0.500  0.390
Pb  0.613  0.500  0.610
Pb  0.887  0.000  0.390

---

- What is the formula in the second record?
  SmGa8Ni4